Simulated XRD peak list of Tb3InGa3 for Cu Kα X-rays, from the PBE geometry in Alexandria.

Principal peaks in the range 2θ from 15° to 90°, by angle:
(1 1 3), d 2.845, I = 100.0; (3 1 -2), d 2.822, I = 19.1; (1 1 -4), d 2.784, I = 67.4; (3 1 -3), d 2.684, I = 21.3; (3 1 -4), d 2.473, I = 29.3; (3 1 2), d 2.341, I = 39.0; (0 2 0), d 2.220, I = 39.6; (7 1 -3), d 1.502, I = 17.8

Structure:
```
data_Tb3InGa3
_chemical_formula_sum 'Tb12 In4 Ga12'
_symmetry_space_group_name_H-M 'C 1 2/m 1'
_symmetry_Int_Tables_number 12
_cell_length_a 11.176
_cell_length_b 4.441
_cell_length_c 14.275
_cell_angle_alpha 90.00
_cell_angle_beta 109.60
_cell_angle_gamma 90.00
loop_
_symmetry_equiv_pos_as_xyz
'x,y,z'
'-x,-y,-z'
'-x,y,-z'
'x,-y,z'
'x+1/2,y+1/2,z'
'-x+1/2,-y+1/2,-z'
'-x+1/2,y+1/2,-z'
'x+1/2,-y+1/2,z'
loop_
_atom_site_label
_atom_site_fract_x
_atom_site_fract_y
_atom_site_fract_z
_atom_site_occupancy
Tb1 0.012 0.000 0.369 1
Tb2 0.109 0.000 0.927 1
Tb3 0.234 0.000 0.218 1
In1 0.231 0.500 0.393 1
Ga1 0.013 0.500 0.220 1
Ga2 0.108 0.500 0.074 1
Ga3 0.120 0.500 0.550 1
```